# 1
# Ti2N2O
Theoretical powder X-ray diffraction pattern, CuKα. Input: a structure optimized by DFT (PBE).
Peak positions follow from Bragg's law for the DFT cell and can differ from measured ones.

Structure:
Cell lengths 8.2140, 8.2277, 8.2318 Å; angles 109.56, 109.42, 109.35 degrees
Sites, in units of the cell vectors:
Ti 0.0000 0.0000 0.0000
Ti 0.0087 0.5074 0.5097
Ti 0.0446 0.2523 0.7900
Ti 0.2044 0.4519 0.2392
Ti 0.2486 0.1991 0.4558
Ti 0.2610 0.7073 0.9548
Ti 0.2941 0.0378 0.7377
Ti 0.4453 0.7331 0.6946
Ti 0.4892 0.4889 0.9798
Ti 0.5035 0.9882 0.4775
Ti 0.5526 0.2536 0.2781
Ti 0.7089 0.9546 0.2419
Ti 0.7397 0.7857 0.5266
Ti 0.7495 0.2983 0.0241
Ti 0.8058 0.5414 0.7477
Ti 0.9693 0.7569 0.1954
N 0.0513 0.7755 0.0006
N 0.2265 0.7729 0.7214
N 0.2257 0.9449 0.4500
N 0.2368 0.4580 0.4996
N 0.2675 0.2723 0.7157
N 0.2802 0.5076 0.0454
N 0.4540 0.9599 0.2172
N 0.4647 0.7235 0.4425
N 0.4950 0.2628 0.0340
N 0.5138 0.7301 0.9480
N 0.7309 0.4859 0.9403
N 0.7655 0.5372 0.4811
N 0.7763 0.0445 0.5305
N 0.9528 0.2224 0.9846
N 0.9602 0.0070 0.2233
N 0.9917 0.4459 0.7161
O 0.0084 0.5429 0.2639
O 0.0468 0.9916 0.7610
O 0.2765 0.2290 0.2163
O 0.5383 0.2732 0.5387
O 0.5527 0.0444 0.7664
O 0.7338 0.7723 0.7677
O 0.7362 0.7247 0.2670
O 0.7788 0.2228 0.2600

Peak list (10 most intense, 2θ = 10–90°, in order of rising 2θ)
- d = 3.878 Å, 22.93°, rel. 23
- d = 2.742 Å, 32.65°, rel. 100
- d = 2.375 Å, 37.88°, rel. 14
- d = 2.239 Å, 40.27°, rel. 6
- d = 2.026 Å, 44.72°, rel. 10
- d = 1.864 Å, 48.86°, rel. 11
- d = 1.680 Å, 54.63°, rel. 32
- d = 1.677 Å, 54.74°, rel. 6
- d = 1.542 Å, 60.00°, rel. 5
- d = 1.433 Å, 65.10°, rel. 13


# 2
# CuSO9
Theoretical powder X-ray diffraction pattern, CuKα. Input: a structure optimized by DFT (PBE).
Peak positions follow from Bragg's law for the DFT cell and can differ from measured ones.

Structure:
Cell lengths 4.5981, 5.9389, 12.1202 Å; angles 100.27, 90.69, 94.68 degrees
Sites, in units of the cell vectors:
Cu 0.0000 0.0000 0.0000
Cu 0.0000 0.5000 0.5000
S 0.3303 0.4633 0.2226
S 0.6697 0.5367 0.7774
O 0.0150 0.7423 0.0847
O 0.1481 0.2597 0.1727
O 0.2327 0.5966 0.3247
O 0.2560 0.7305 0.5871
O 0.2705 0.6872 0.1092
O 0.3102 0.2662 0.5121
O 0.3650 0.5259 0.8011
O 0.4076 0.0178 0.9627
O 0.4563 0.1809 0.4246
O 0.5437 0.8191 0.5754
O 0.5924 0.9822 0.0373
O 0.6350 0.4741 0.1989
O 0.6898 0.7338 0.4879
O 0.7295 0.3128 0.8908
O 0.7440 0.2695 0.4129
O 0.7673 0.4034 0.6753
O 0.8519 0.7403 0.8273
O 0.9850 0.2577 0.9153

Peak list (10 most intense, 2θ = 10–90°, in order of rising 2θ)
- d = 5.961 Å, 14.86°, rel. 66
- d = 5.822 Å, 15.22°, rel. 47
- d = 5.648 Å, 15.69°, rel. 100
- d = 4.896 Å, 18.12°, rel. 35
- d = 3.835 Å, 23.20°, rel. 59
- d = 3.683 Å, 24.16°, rel. 80
- d = 3.596 Å, 24.76°, rel. 46
- d = 3.215 Å, 27.75°, rel. 50
- d = 3.038 Å, 29.40°, rel. 41
- d = 2.482 Å, 36.19°, rel. 47


# 3
# MgSn2O4
Theoretical powder X-ray diffraction pattern, CuKα. Input: a structure optimized by DFT (PBE).
Peak positions follow from Bragg's law for the DFT cell and can differ from measured ones.

Structure:
Cell lengths 6.3489, 6.3489, 23.5868 Å; angles 98.01, 98.01, 60.25 degrees
Sites, in units of the cell vectors:
Mg 0.0000 0.0000 0.0000
Mg 0.0207 0.0207 0.5817
Mg 0.1269 0.1269 0.8768
Mg 0.2570 0.2570 0.7562
Mg 0.2663 0.2663 0.3317
Mg 0.5007 0.5007 0.5010
Mg 0.7467 0.7467 0.2466
Mg 0.8733 0.8733 0.1240
Sn 0.9996 0.4997 0.0001
Sn 0.0000 0.5000 0.5012
Sn 0.2210 0.2210 0.1542
Sn 0.2398 0.7474 0.2488
Sn 0.2530 0.7616 0.7533
Sn 0.3776 0.3776 0.6226
Sn 0.4745 0.4745 0.9056
Sn 0.4997 0.9996 0.0001
Sn 0.5000 0.0000 0.5012
Sn 0.5245 0.5245 0.0945
Sn 0.6224 0.6224 0.3690
Sn 0.7349 0.7349 0.6636
Sn 0.7474 0.2398 0.2488
Sn 0.7616 0.2530 0.7533
Sn 0.7790 0.7790 0.8436
Sn 0.9778 0.9778 0.4102
O 0.0454 0.0454 0.1951
O 0.0510 0.6009 0.1912
O 0.0604 0.0604 0.6993
O 0.0799 0.5727 0.7107
O 0.1478 0.6928 0.0567
O 0.1812 0.1812 0.0430
O 0.1878 0.6610 0.5545
O 0.1929 0.1929 0.5554
O 0.2998 0.2998 0.9476
O 0.3067 0.8528 0.9444
O 0.3103 0.3103 0.4519
O 0.3251 0.8191 0.4555
O 0.3929 0.9585 0.8090
O 0.4249 0.9154 0.3030
O 0.4290 0.4290 0.3006
O 0.4442 0.4442 0.7962
O 0.5644 0.5644 0.2109
O 0.5727 0.0799 0.7107
O 0.5740 0.5740 0.7077
O 0.6009 0.0510 0.1912
O 0.6610 0.1878 0.5545
O 0.6831 0.6831 0.5422
O 0.6928 0.1478 0.0567
O 0.6988 0.6988 0.0539
O 0.8132 0.8132 0.4526
O 0.8191 0.3251 0.4555
O 0.8186 0.8186 0.9582
O 0.8528 0.3067 0.9444
O 0.9154 0.4249 0.3030
O 0.9238 0.9238 0.2907
O 0.9585 0.3929 0.8090
O 0.9615 0.9615 0.8085

Peak list (10 most intense, 2θ = 10–90°, in order of rising 2θ)
- d = 5.248 Å, 16.90°, rel. 39
- d = 3.424 Å, 26.02°, rel. 62
- d = 3.174 Å, 28.11°, rel. 36
- d = 2.954 Å, 30.26°, rel. 31
- d = 2.939 Å, 30.42°, rel. 49
- d = 2.794 Å, 32.03°, rel. 100
- d = 2.724 Å, 32.89°, rel. 41
- d = 1.791 Å, 51.00°, rel. 34
- d = 1.708 Å, 53.65°, rel. 36
- d = 1.587 Å, 58.12°, rel. 32


# 4
# SrTcN3
Theoretical powder X-ray diffraction pattern, CuKα. Input: a structure optimized by DFT (PBE).
Peak positions follow from Bragg's law for the DFT cell and can differ from measured ones.

Structure:
Cell lengths 6.6538, 6.6538, 5.7690 Å; angles 90.00, 90.00, 143.10 degrees
Sites, in units of the cell vectors:
Sr 0.1292 0.8708 0.7500
Sr 0.8708 0.1292 0.2500
Tc 0.4049 0.5951 0.7500
Tc 0.5951 0.4049 0.2500
N 0.0460 0.6523 0.2500
N 0.3477 0.9540 0.2500
N 0.5000 0.5000 0.0000
N 0.5000 0.5000 0.5000
N 0.6523 0.0460 0.7500
N 0.9540 0.3477 0.7500

Peak list (10 most intense, 2θ = 10–90°, in order of rising 2θ)
- d = 3.284 Å, 27.15°, rel. 73
- d = 3.156 Å, 28.28°, rel. 30
- d = 2.884 Å, 31.00°, rel. 49
- d = 2.645 Å, 33.89°, rel. 100
- d = 2.129 Å, 42.46°, rel. 28
- d = 2.106 Å, 42.95°, rel. 19
- d = 1.732 Å, 52.85°, rel. 17
- d = 1.701 Å, 53.91°, rel. 17
- d = 1.615 Å, 57.02°, rel. 21
- d = 1.497 Å, 61.98°, rel. 19